Diffraction record for Na5VO5. The PXRD pattern is computed, not measured: it uses a PBE+U-relaxed structure and Cu Kα (weighted mean of Kα1 and Kα2).
Intensities are scaled so that the largest is 100.

Lattice parameters (Å, degrees): 6.2365 10.0784 9.9762 90.00 107.33 90.00
Space group C2/c (No. 15)
Inequivalent atoms, fractional coordinates:
Na 0.0000 0.1656 0.2500 [4 per cell]
Na 0.1724 0.1137 0.5530 [8 per cell]
Na 0.1747 0.3468 0.0811 [8 per cell]
V 0.0000 0.4064 0.7500 [4 per cell]
O 0.0000 0.4153 0.2500 [4 per cell]
O 0.1233 0.3303 0.6239 [8 per cell]
O 0.2077 0.1066 0.1088 [8 per cell]

Most intense lines, 10 to 90 degrees two-theta, in order of falling intensity:
hkl 2 0 2, 2θ 40.23, intensity 100.0; hkl 0 4 0, 2θ 35.63, intensity 85.1; hkl 1 1 -2, 2θ 21.98, intensity 80.0; hkl 0 2 1, 2θ 19.93, intensity 76.2; hkl 2 0 -4, 2θ 40.88, intensity 68.7; hkl 1 1 0, 2θ 17.30, intensity 68.1; hkl 0 2 3, 2θ 33.36, intensity 54.0; hkl 2 2 -1, 2θ 33.81, intensity 52.1; hkl 1 5 -2, 2θ 49.72, intensity 46.5; hkl 2 4 2, 2θ 54.81, intensity 36.4

---

Diffraction record for K3Cu2NiF9. The PXRD pattern is computed, not measured: it uses a PBE+U-relaxed structure and Cu Kα (weighted mean of Kα1 and Kα2).
Intensities are scaled so that the largest is 100.

Lattice parameters (Å, degrees): 5.7623 5.7623 7.0561 90.00 90.00 120.00
Space group P-3m1 (No. 164)
Inequivalent atoms, fractional coordinates:
K 0.0000 0.0000 0.0000 [1 per cell]
K 0.3333 0.6667 0.6634 [2 per cell]
Cu 0.3333 0.6667 0.1643 [2 per cell]
Ni 0.0000 0.0000 0.5000 [1 per cell]
F 0.0000 0.5000 0.0000 [3 per cell]
F 0.1658 0.3317 0.3328 [6 per cell]

Most intense lines, 10 to 90 degrees two-theta, in order of falling intensity:
hkl 1 1 0, 2θ 31.04, intensity 100.0; hkl 2 0 2, 2θ 44.47, intensity 60.8; hkl 3 0 0, 2θ 55.22, intensity 36.2; hkl 1 0 1, 2θ 21.81, intensity 33.7; hkl 2 2 0, 2θ 64.71, intensity 33.2; hkl 3 1 2, 2θ 73.50, intensity 14.7; hkl 2 1 1, 2θ 50.06, intensity 14.1; hkl 0 4 2, 2θ 81.91, intensity 10.1; hkl 3 0 3, 2θ 69.17, intensity 5.8; hkl 0 2 1, 2θ 38.26, intensity 4.4